Li4MnCo2O7: calculated X-ray diffraction stick pattern (Cu Kα, 1.54184 Å), based on the GGA+U geometry in Alexandria.
Kinematic intensities with the Lorentz-polarization factor, no thermal factor.

Crystal structure
```
data_Li4MnCo2O7
_chemical_formula_sum 'Li16 Mn4 Co8 O28'
_cell_length_a 19.2562
_cell_length_b 2.8652
_cell_length_c 9.7173
_cell_angle_alpha 90.00
_cell_angle_beta 113.91
_cell_angle_gamma 90.00
_symmetry_space_group_name_H-M 'C 1 m 1'
_symmetry_Int_Tables_number 8
loop_
_symmetry_equiv_pos_as_xyz
'x,y,z'
'x,-y,z'
'x+1/2,y+1/2,z'
'x+1/2,-y+1/2,z'
loop_
_atom_site_label
_atom_site_fract_x
_atom_site_fract_y
_atom_site_fract_z
Li1 0.0000 0.0000 0.0000
Li2 0.0030 0.5000 0.4890
Li3 0.0739 0.0000 0.7883
Li4 0.1309 0.5000 0.0471
Li5 0.2061 0.0000 0.3437
Li6 0.2834 0.5000 0.6548
Li7 0.3563 0.0000 0.9335
Li8 0.4291 0.5000 0.2020
Mn1 0.3553 0.5000 0.4279
Mn2 0.4328 0.0000 0.7225
Co1 0.0642 0.5000 0.2710
Co2 0.1426 0.0000 0.5648
Co3 0.2134 0.5000 0.8511
Co4 0.2818 0.0000 0.1356
O1 0.0271 0.5000 0.8685
O2 0.0368 0.0000 0.3745
O3 0.1004 0.0000 0.1861
O4 0.1159 0.5000 0.6691
O5 0.1661 0.5000 0.4562
O6 0.1790 0.0000 0.9453
O7 0.2461 0.0000 0.7541
O8 0.2590 0.5000 0.2660
O9 0.3105 0.5000 0.0225
O10 0.3284 0.0000 0.5343
O11 0.3902 0.0000 0.3397
O12 0.3961 0.5000 0.8051
O13 0.4562 0.5000 0.6057
O14 0.4707 0.0000 0.1177
```

The 10 most intense peaks (10 to 90 degrees two-theta), in order of rising 2θ:
two_theta  Rel. int.
10.05  7.6
18.52  100.0
35.70  13.3
36.54  25.0
37.54  7.7
43.30  27.1
44.26  52.6
48.14  7.8
58.31  9.4
63.65  34.9